This entry pairs a crystal structure of La2Er12Sc with its simulated powder X-ray diffraction pattern. Radiation: Cu Kα X-rays. Structure: a crystal structure in Alexandria, relaxed with GGA-PBE.
Kinematic intensities with the Lorentz-polarization factor, no thermal factor.

Most intense lines, 2θ = 10–80°, low angle first:
- hkl 0 0 6, 22.13°, 4.017 Å, rel. 25
- hkl 2 0 2, 28.60°, 3.121 Å, rel. 100
- hkl 1 1 6, 29.61°, 3.017 Å, rel. 38
- hkl 2 0 4, 31.42°, 2.848 Å, rel. 47
- hkl 1 1 7, 32.56°, 2.750 Å, rel. 40
- hkl 0 0 9, 33.43°, 2.680 Å, rel. 67
- hkl 2 1 4, 34.42°, 2.606 Å, rel. 26
- hkl 2 0 6, 35.67°, 2.517 Å, rel. 44
- hkl 2 2 0, 39.44°, 2.285 Å, rel. 60
- hkl 2 0 15, 64.79°, 1.439 Å, rel. 34

Cell and atoms:
Cell: 6.462 6.462 24.102 Å, 90.00 90.00 90.00°
Space group P4/nbm (No. 125, origin choice 2)
Unique sites:
La  0.250  0.750  0.241
Er  0.001  0.501  0.396
Er  0.081  0.581  0.938
Er  0.250  0.250  0.163
Er  0.250  0.250  0.294
Sc  0.250  0.750  0.500